Diffraction record for Ca8HgAu2. The powder diffractogram is simulated, not measured: it uses a DFT-relaxed cell (PBE, Alexandria) and Cu Kα, 1.54184 Å.
Lines closer than 0.1° are merged.

Principal peaks in the range 2θ = 10–80°, by angle:
2θ (°)  d (Å)  intensity  index
15.49  5.722  41  0 0 1
17.27  5.135  69  1 1 -1
19.87  4.469  84  2 0 0
20.28  4.379  92  0 2 1
21.58  4.117  43  1 1 1
21.97  4.045  89  1 3 0
30.58  2.924  100  3 1 -1
31.41  2.848  37  2 2 1
36.06  2.490  77  3 3 0
36.79  2.443  59  1 5 -1

Cell and atoms:
Cell: 9.2816 13.6085 5.9411 Å, 90.00 105.62 90.00°
Space group Cm (No. 8)
Asymmetric unit:
Ca (0.0000, 0.0000, 0.0000) [2 per cell]
Ca (0.0701, 0.3701, 0.7766) [4 per cell]
Ca (0.1716, 0.1302, 0.5957) [4 per cell]
Ca (0.2426, 0.5000, 0.3806) [2 per cell]
Ca (0.3701, 0.2342, 0.1884) [4 per cell]
Hg (0.3709, 0.0000, 0.2877) [2 per cell]
Au (0.3719, 0.3143, 0.6913) [4 per cell]



Diffraction record for Rb3Al2Te4. The powder diffractogram is simulated, not measured: it uses a DFT-relaxed cell (PBE, Alexandria) and Cu Kα, 1.54184 Å.
Lines closer than 0.1° are merged.

Principal peaks in the range 2θ = 10–80°, by angle:
2θ (°)  d (Å)  intensity  index
20.87  4.256  53  2 2 -1
23.42  3.798  100  3 1 1
25.38  3.509  86  2 0 2
25.85  3.446  46  1 3 1
28.99  3.080  58  3 3 0
29.23  3.055  75  4 0 -2
29.81  2.997  71  3 3 -1
30.52  2.929  76  1 3 -2
31.29  2.858  55  5 1 0
31.44  2.845  53  1 1 -3

Cell and atoms:
Cell: 14.9100 11.8665 8.8001 Å, 90.00 99.01 90.00°
Space group C2/c (No. 15)
Asymmetric unit:
Rb (0.0000, 0.1055, 0.2500) [4 per cell]
Rb (0.1382, 0.3703, 0.6053) [8 per cell]
Al (0.2090, 0.1183, 0.9329) [8 per cell]
Te (0.1180, 0.3043, 0.0051) [8 per cell]
Te (0.1795, 0.0549, 0.6190) [8 per cell]



Diffraction record for Ni2Os. The powder diffractogram is simulated, not measured: it uses a DFT-relaxed cell (PBE, Alexandria) and Cu Kα, 1.54184 Å.
Lines closer than 0.1° are merged.

Principal peaks in the range 2θ = 10–80°, by angle:
2θ (°)  d (Å)  intensity  index
20.70  4.291  19  1 0 1
22.97  3.872  7  0 0 2
27.05  3.296  5  0 1 1
28.84  3.096  6  1 0 2
32.23  2.777  13  1 1 1
38.15  2.359  6  1 1 2
42.97  2.105  100  2 1 0
50.03  1.823  48  0 2 0
73.36  1.291  5  0 0 6
73.48  1.289  24  4 0 0

Cell and atoms:
Cell: 5.1549 3.6427 7.7436 Å, 90.00 90.00 90.00°
Space group Pnma (No. 62)
Asymmetric unit:
Ni (0.1185, 0.2500, 0.0867) [4 per cell]
Ni (0.1268, 0.2500, 0.7494) [4 per cell]
Os (0.1228, 0.2500, 0.4237) [4 per cell]